# K2CuP2O7
Computed PXRD pattern, Cu Kα X-rays. Input: a PBE-relaxed structure.

Structural model:
```
data_K2CuP2O7
_cell_length_a 8.182
_cell_length_b 8.182
_cell_length_c 5.564
_cell_angle_alpha 90.00
_cell_angle_beta 90.00
_cell_angle_gamma 90.00
_space_group_name_H-M_alt 'P -4 21 m'
_space_group_IT_number 113
_space_group_name_Hall 'P -4 2ab'
loop_
_atom_site_label
_atom_site_type_symbol
_atom_site_fract_x
_atom_site_fract_y
_atom_site_fract_z
K1 K 0.167 0.333 0.009
Cu1 Cu 0.000 0.000 0.500
P1 P 0.133 0.633 0.516
O1 O 0.000 0.500 0.618
O2 O 0.078 0.794 0.638
O3 O 0.134 0.634 0.245
```

Most intense lines, 2θ from 10° to 90°, in order of rising 2θ:
15.93 deg, I = 47, hkl 0 0 1
22.17 deg, I = 26, hkl 1 1 1
27.05 deg, I = 52, hkl 2 0 1
29.21 deg, I = 100, hkl 2 1 1
30.91 deg, I = 9, hkl 2 2 0
32.18 deg, I = 19, hkl 0 0 2
34.67 deg, I = 33, hkl 3 1 0
45.22 deg, I = 10, hkl 2 2 2
48.02 deg, I = 27, hkl 3 1 2
49.84 deg, I = 13, hkl 4 2 0
60.00 deg, I = 10, hkl 5 1 1
78.00 deg, I = 16, hkl 3 1 4